The following is a computed XRD peak list of Pr12Y2Tl. It was derived from a GGA-PBE-relaxed structure, using Cu Kα (weighted mean of Kα1 and Kα2).
Peak positions follow from Bragg's law for the DFT cell and can differ from measured ones.

```
data_Pr12Y2Tl
_chemical_formula_sum 'Pr24 Y4 Tl2'
_cell_length_a 6.7977
_cell_length_b 6.7977
_cell_length_c 24.0516
_cell_angle_alpha 90.00
_cell_angle_beta 90.00
_cell_angle_gamma 90.00
_symmetry_space_group_name_H-M 'P 4/n b m'
_symmetry_Int_Tables_number 125
loop_
_symmetry_equiv_pos_as_xyz
'x,y,z'
'-x,-y,-z'
'-y+1/2,x,z'
'y+1/2,-x,-z'
'-x+1/2,-y+1/2,z'
'x+1/2,y+1/2,-z'
'y,-x+1/2,z'
'-y,x+1/2,-z'
'x,-y+1/2,-z'
'-x,y+1/2,z'
'-y+1/2,-x+1/2,-z'
'y+1/2,x+1/2,z'
'-x+1/2,y,-z'
'x+1/2,-y,z'
'y,x,-z'
'-y,-x,z'
loop_
_atom_site_label
_atom_site_type_symbol
_atom_site_fract_x
_atom_site_fract_y
_atom_site_fract_z
Pr1 Pr 0.0045 0.5045 0.0926
Pr2 Pr 0.0836 0.5836 0.5658
Pr3 Pr 0.2500 0.2500 0.1998
Pr4 Pr 0.2500 0.2500 0.3279
Y1 Y 0.2500 0.7500 0.2503
Tl1 Tl 0.2500 0.7500 0.0000
```

Largest 6 diffraction maxima, low angle first, 10° ≤ 2θ ≤ 90°:
19.9°, rel. 76.7, hkl 1 1 2; 27.3°, rel. 89.3, hkl 2 0 2; 30.2°, rel. 66.1, hkl 2 0 4; 34.6°, rel. 100.0, hkl 2 0 6; 37.4°, rel. 88.2, hkl 2 2 0; 52.3°, rel. 56.9, hkl 3 1 8